No. 1
Starting from a structure optimized by DFT (PBE+U), the X-ray powder pattern of VCr2O6 was simulated for λ = 1.5418 Å (Cu Kα).

The 10 most intense peaks (2θ from 15° to 90°), sorted by position:
2theta, d/Å, intensity
27.71, 3.220, 100
36.26, 2.477, 51
39.59, 2.277, 8
41.50, 2.176, 16
54.76, 1.676, 58
57.22, 1.610, 17
62.97, 1.476, 8
64.74, 1.440, 9
69.66, 1.350, 20
70.13, 1.342, 11

Crystal structure
Cell lengths 4.5533, 4.5533, 8.8567 Å; angles 90.00, 90.00, 90.00 degrees
Atoms (fractional coordinates):
V (0.0000, 0.0000, 0.0000)
V (0.5000, 0.5000, 0.5000)
Cr (0.0000, 0.0000, 0.3340)
Cr (0.0000, 0.0000, 0.6660)
Cr (0.5000, 0.5000, 0.1660)
Cr (0.5000, 0.5000, 0.8340)
O (0.1946, 0.1946, 0.1604)
O (0.1946, 0.1946, 0.8396)
O (0.1998, 0.1998, 0.5000)
O (0.3002, 0.6998, 0.0000)
O (0.3054, 0.6946, 0.3396)
O (0.3054, 0.6946, 0.6604)
O (0.6946, 0.3054, 0.3396)
O (0.6946, 0.3054, 0.6604)
O (0.6998, 0.3002, 0.0000)
O (0.8002, 0.8002, 0.5000)
O (0.8054, 0.8054, 0.1604)
O (0.8054, 0.8054, 0.8396)

***

No. 2
Starting from a structure optimized by DFT (PBE+U), the X-ray powder pattern of VCr2O6 was simulated for λ = 1.5418 Å (Cu Kα).

The 10 most intense peaks (2θ from 15° to 90°), sorted by position:
2theta, d/Å, intensity
24.63, 3.614, 42
25.27, 3.524, 100
27.05, 3.296, 76
30.70, 2.912, 19
35.23, 2.547, 26
37.09, 2.424, 26
45.92, 1.976, 24
50.19, 1.818, 30
51.08, 1.788, 19
54.48, 1.684, 20

Crystal structure
Cell lengths 13.9075, 5.4239, 5.1716 Å; angles 90.00, 90.00, 90.00 degrees
Atoms (fractional coordinates):
V (0.0000, 0.1584, 0.2500)
V (0.0000, 0.8416, 0.7500)
V (0.5000, 0.3416, 0.7500)
V (0.5000, 0.6584, 0.2500)
Cr (0.1743, 0.3577, 0.5094)
Cr (0.1743, 0.6423, 0.0094)
Cr (0.3257, 0.1423, 0.0094)
Cr (0.3257, 0.8577, 0.5094)
Cr (0.6743, 0.1423, 0.4906)
Cr (0.6743, 0.8577, 0.9906)
Cr (0.8257, 0.3577, 0.9906)
Cr (0.8257, 0.6423, 0.4906)
O (0.0698, 0.1099, 0.5625)
O (0.0698, 0.8901, 0.0625)
O (0.0935, 0.3830, 0.1905)
O (0.0935, 0.6170, 0.6905)
O (0.2401, 0.3702, 0.8468)
O (0.2401, 0.6298, 0.3468)
O (0.2599, 0.1298, 0.3468)
O (0.2599, 0.8702, 0.8468)
O (0.4065, 0.1170, 0.6905)
O (0.4065, 0.8830, 0.1905)
O (0.4302, 0.3901, 0.0625)
O (0.4302, 0.6099, 0.5625)
O (0.5698, 0.3901, 0.4375)
O (0.5698, 0.6099, 0.9375)
O (0.5935, 0.1170, 0.8095)
O (0.5935, 0.8830, 0.3095)
O (0.7401, 0.1298, 0.1532)
O (0.7401, 0.8702, 0.6532)
O (0.7599, 0.3702, 0.6532)
O (0.7599, 0.6298, 0.1532)
O (0.9065, 0.3830, 0.3095)
O (0.9065, 0.6170, 0.8095)
O (0.9302, 0.1099, 0.9375)
O (0.9302, 0.8901, 0.4375)

***

No. 3
Starting from a structure optimized by DFT (PBE+U), the X-ray powder pattern of V5CrO12 was simulated for λ = 1.5418 Å (Cu Kα).

The 10 most intense peaks (2θ from 15° to 90°), sorted by position:
2theta, d/Å, intensity
18.66, 4.756, 58
19.24, 4.612, 45
23.79, 3.740, 22
25.53, 3.489, 23
28.06, 3.180, 100
29.73, 3.005, 62
33.60, 2.667, 41
35.15, 2.553, 26
44.37, 2.042, 22
54.08, 1.696, 22

Crystal structure
Cell lengths 6.8634, 6.8634, 5.6867 Å; angles 104.86, 104.86, 84.44 degrees
Atoms (fractional coordinates):
V (0.0000, 0.0000, 0.0000)
V (0.2872, 0.3109, 0.5011)
V (0.4788, 0.1094, 0.9907)
V (0.6891, 0.7128, 0.4989)
V (0.8906, 0.5212, 0.0093)
Cr (0.1660, 0.8340, 0.5000)
O (0.0491, 0.7414, 0.1235)
O (0.1222, 0.1067, 0.3915)
O (0.1654, 0.5447, 0.5068)
O (0.2586, 0.9509, 0.8765)
O (0.4232, 0.3012, 0.8028)
O (0.4520, 0.2650, 0.3060)
O (0.4553, 0.8346, 0.4932)
O (0.6988, 0.5768, 0.1972)
O (0.7225, 0.0096, 0.0363)
O (0.7350, 0.5480, 0.6940)
O (0.8933, 0.8778, 0.6085)
O (0.9904, 0.2775, 0.9637)